LaGdB12: computed X-ray diffraction stick pattern (Cu Kα, 1.54184 Å), based on a cell relaxed with PBE.

Top 6 peaks for 10° ≤ 2θ ≤ 80°, in order of rising 2θ:
d_spacing, 2θ/deg, Rel. int., (hkl)
4.138, 21.5, 66, 1 0 0
2.926, 30.5, 100, 1 1 0
2.389, 37.6, 42, 1 1 2
1.851, 49.2, 50, 2 1 0
1.689, 54.3, 27, 2 1 2
1.379, 68.0, 28, 2 2 2

Crystal structure
```
LaGdB12
1.0
4.1384 0.0000 0.0000
0.0000 4.1384 0.0000
0.0000 0.0000 8.2767
La Gd B
1 1 12
Direct
0.0000 0.0000 0.0000
0.0000 0.0000 0.5000
0.1995 0.5000 0.2504
0.1995 0.5000 0.7496
0.5000 0.1995 0.2504
0.5000 0.1995 0.7496
0.5000 0.5000 0.1000
0.5000 0.5000 0.4007
0.5000 0.5000 0.5993
0.5000 0.5000 0.9000
0.5000 0.8005 0.2504
0.5000 0.8005 0.7496
0.8005 0.5000 0.2504
0.8005 0.5000 0.7496
```